Diffraction record for Ta3Re10. The XRD peak list is calculated, not measured: it uses a crystal structure in OQMD, relaxed with PBE and copper Kα.

Top 10 peaks for 2θ from 5° to 70°, low angle first:
2θ/deg, I_rel
34.91, 46.7
38.66, 38.4
39.57, 28.6
40.29, 100.0
40.67, 49.7
41.63, 54.2
43.92, 50.6
46.99, 32.1
66.24, 23.5
67.20, 27.6

Structural model:
a b c (Å): 9.5805 9.5805 9.5805
angles (deg): 31.12 31.12 31.12
Fractional coordinates of all 13 atoms:
Ta  0.0000  0.0000  0.0000
Ta  0.3487  0.3487  0.3487
Ta  0.6513  0.6513  0.6513
Re  0.0863  0.0863  0.5807
Re  0.0863  0.5807  0.0863
Re  0.1668  0.1668  0.1668
Re  0.4193  0.9137  0.9137
Re  0.4529  0.4529  0.4529
Re  0.5471  0.5471  0.5471
Re  0.5807  0.0863  0.0863
Re  0.8332  0.8332  0.8332
Re  0.9137  0.4193  0.9137
Re  0.9137  0.9137  0.4193



Diffraction record for Ta5Re. The XRD peak list is calculated, not measured: it uses a crystal structure in OQMD, relaxed with PBE and copper Kα.

Top 10 peaks for 2θ from 5° to 70°, low angle first:
2θ/deg, I_rel
32.86, 27.5
36.96, 44.2
39.25, 100.0
39.62, 63.5
41.43, 21.9
42.47, 18.8
61.37, 19.2
62.97, 28.5
67.87, 22.2
68.90, 29.2

Structural model:
a b c (Å): 5.4512 5.4512 17.0275
angles (deg): 90.00 90.00 120.00
Fractional coordinates of all 24 atoms:
Ta  0.0000  0.0000  0.0945
Ta  0.0000  0.0000  0.4055
Ta  0.0000  0.0000  0.5945
Ta  0.0000  0.0000  0.9055
Ta  0.0000  0.5000  0.0000
Ta  0.0000  0.5000  0.5000
Ta  0.1645  0.3291  0.2500
Ta  0.1645  0.8355  0.2500
Ta  0.3291  0.1645  0.7500
Ta  0.3333  0.6667  0.6552
Ta  0.3333  0.6667  0.8448
Ta  0.5000  0.0000  0.0000
Ta  0.5000  0.0000  0.5000
Ta  0.5000  0.5000  0.0000
Ta  0.5000  0.5000  0.5000
Ta  0.6667  0.3333  0.1552
Ta  0.6667  0.3333  0.3448
Ta  0.6709  0.8355  0.2500
Ta  0.8355  0.1645  0.7500
Ta  0.8355  0.6709  0.7500
Re  0.3333  0.6667  0.1243
Re  0.3333  0.6667  0.3757
Re  0.6667  0.3333  0.6243
Re  0.6667  0.3333  0.8757



Diffraction record for Ta3Re. The XRD peak list is calculated, not measured: it uses a crystal structure in OQMD, relaxed with PBE and copper Kα.

Top 5 peaks for 2θ from 5° to 70°, low angle first:
2θ/deg, I_rel
38.12, 100.0
47.08, 22.1
62.17, 19.4
68.78, 7.2
68.97, 14.3

Structural model:
a b c (Å): 5.4462 5.4462 5.4462
angles (deg): 138.48 138.48 60.16
Fractional coordinates of all 4 atoms:
Ta  0.0000  0.0000  0.0000
Ta  0.2500  0.7500  0.5000
Ta  0.7500  0.2500  0.5000
Re  0.5000  0.5000  0.0000



Diffraction record for Ta2Re3. The XRD peak list is calculated, not measured: it uses a crystal structure in OQMD, relaxed with PBE and copper Kα.

Top 10 peaks for 2θ from 5° to 70°, low angle first:
2θ/deg, I_rel
35.14, 19.1
37.82, 73.3
38.96, 36.6
39.80, 36.6
40.89, 55.5
41.89, 100.0
42.94, 36.9
44.04, 14.9
66.56, 24.6
67.67, 24.6

Structural model:
a b c (Å): 9.8086 9.8086 5.1074
angles (deg): 90.00 90.00 90.00
Fractional coordinates of all 30 atoms:
Ta  0.0556  0.2603  0.0000
Ta  0.1052  0.1052  0.5000
Ta  0.2397  0.5556  0.5000
Ta  0.2603  0.0556  0.0000
Ta  0.3948  0.6052  0.0000
Ta  0.4444  0.7603  0.5000
Ta  0.5556  0.2397  0.5000
Ta  0.6052  0.3948  0.0000
Ta  0.7397  0.9444  0.0000
Ta  0.7603  0.4444  0.5000
Ta  0.8948  0.8948  0.5000
Ta  0.9444  0.7397  0.0000
Re  0.0000  0.0000  0.0000
Re  0.0298  0.3695  0.5000
Re  0.1305  0.5298  0.0000
Re  0.1882  0.8118  0.2559
Re  0.1882  0.8118  0.7441
Re  0.3118  0.3118  0.2441
Re  0.3118  0.3118  0.7559
Re  0.3695  0.0298  0.5000
Re  0.4702  0.8695  0.0000
Re  0.5000  0.5000  0.5000
Re  0.5298  0.1305  0.0000
Re  0.6305  0.9702  0.5000
Re  0.6882  0.6882  0.2441
Re  0.6882  0.6882  0.7559
Re  0.8118  0.1882  0.2559
Re  0.8118  0.1882  0.7441
Re  0.8695  0.4702  0.0000
Re  0.9702  0.6305  0.5000



Diffraction record for Ta25Re4. The XRD peak list is calculated, not measured: it uses a crystal structure in OQMD, relaxed with PBE and copper Kα.

Top 10 peaks for 2θ from 5° to 70°, low angle first:
2θ/deg, I_rel
35.28, 7.8
37.50, 100.0
41.63, 32.0
43.58, 11.1
45.45, 13.9
60.34, 3.1
63.33, 5.2
64.79, 10.2
67.67, 27.1
69.08, 5.0

Structural model:
a b c (Å): 8.8118 8.8118 8.8118
angles (deg): 109.47 109.47 109.47
Fractional coordinates of all 29 atoms:
Ta  0.0000  0.0000  0.0000
Ta  0.0000  0.1860  0.3720
Ta  0.0000  0.3720  0.1860
Ta  0.0000  0.4083  0.6851
Ta  0.0000  0.6851  0.4083
Ta  0.1860  0.0000  0.3720
Ta  0.1860  0.3720  0.0000
Ta  0.1860  0.8140  0.8140
Ta  0.2768  0.5917  0.5917
Ta  0.3149  0.3149  0.7232
Ta  0.3149  0.7232  0.3149
Ta  0.3720  0.0000  0.1860
Ta  0.3720  0.1860  0.0000
Ta  0.4083  0.0000  0.6851
Ta  0.4083  0.6851  0.0000
Ta  0.5917  0.2768  0.5917
Ta  0.5917  0.5917  0.2768
Ta  0.6280  0.6280  0.8140
Ta  0.6280  0.8140  0.6280
Ta  0.6851  0.0000  0.4083
Ta  0.6851  0.4083  0.0000
Ta  0.7232  0.3149  0.3149
Ta  0.8140  0.1860  0.8140
Ta  0.8140  0.6280  0.6280
Ta  0.8140  0.8140  0.1860
Re  0.0000  0.0000  0.6357
Re  0.0000  0.6357  0.0000
Re  0.3643  0.3643  0.3643
Re  0.6357  0.0000  0.0000



Diffraction record for Ta2Re3. The XRD peak list is calculated, not measured: it uses a crystal structure in OQMD, relaxed with PBE and copper Kα.

Top 10 peaks for 2θ from 5° to 70°, low angle first:
2θ/deg, I_rel
35.19, 20.6
37.94, 74.6
39.09, 34.3
39.87, 33.2
40.96, 60.7
42.02, 100.0
43.07, 45.5
66.76, 21.8
67.81, 32.1
68.59, 11.6

Structural model:
a b c (Å): 9.7778 9.7778 5.1012
angles (deg): 90.00 90.00 90.00
Fractional coordinates of all 30 atoms:
Ta  0.1044  0.1044  0.0000
Ta  0.1843  0.8157  0.2491
Ta  0.1843  0.8157  0.7509
Ta  0.3157  0.3157  0.2509
Ta  0.3157  0.3157  0.7491
Ta  0.3956  0.6044  0.5000
Ta  0.6044  0.3956  0.5000
Ta  0.6843  0.6843  0.2509
Ta  0.6843  0.6843  0.7491
Ta  0.8157  0.1843  0.2491
Ta  0.8157  0.1843  0.7509
Ta  0.8956  0.8956  0.0000
Re  0.0000  0.0000  0.5000
Re  0.0336  0.3726  0.0000
Re  0.0639  0.2603  0.5000
Re  0.1274  0.5336  0.5000
Re  0.2397  0.5639  0.0000
Re  0.2603  0.0639  0.5000
Re  0.3726  0.0336  0.0000
Re  0.4361  0.7603  0.0000
Re  0.4664  0.8726  0.5000
Re  0.5000  0.5000  0.0000
Re  0.5336  0.1274  0.5000
Re  0.5639  0.2397  0.0000
Re  0.6274  0.9664  0.0000
Re  0.7397  0.9361  0.5000
Re  0.7603  0.4361  0.0000
Re  0.8726  0.4664  0.5000
Re  0.9361  0.7397  0.5000
Re  0.9664  0.6274  0.0000